Entry 1:
Calculated powder X-ray diffraction pattern
Compound: YEr3Fe34
Radiation: Cu Kα (λ = 1.5418 Å)
Structure: a cell relaxed with GGA-PBE
Kinematic intensities with the Lorentz-polarization factor, no thermal factor.

Atomic structure:
```
data_YEr3Fe34
_chemical_formula_sum 'Y1 Er3 Fe34'
_space_group_name_H-M_alt 'P 1'
_space_group_IT_number 1
_cell_length_a 8.4646
_cell_length_b 8.4646
_cell_length_c 8.2460
_cell_angle_alpha 90.00
_cell_angle_beta 90.00
_cell_angle_gamma 120.00
loop_
_space_group_symop_operation_xyz
'x,y,z'
loop_
_atom_site_label
_atom_site_fract_x
_atom_site_fract_y
_atom_site_fract_z
Y1 0.0000 0.0000 0.0000
Er1 0.3333 0.6667 0.0000
Er2 0.3333 0.6667 0.5000
Er3 0.6667 0.3333 0.5000
Fe1 0.0000 0.0000 0.3569
Fe2 0.0000 0.0000 0.6431
Fe3 0.0015 0.5007 0.2650
Fe4 0.0015 0.5007 0.7350
Fe5 0.0041 0.3001 0.5000
Fe6 0.0041 0.7041 0.5000
Fe7 0.1677 0.3355 0.2354
Fe8 0.1677 0.3355 0.7646
Fe9 0.1677 0.8323 0.2354
Fe10 0.1677 0.8323 0.7646
Fe11 0.2959 0.3001 0.5000
Fe12 0.2959 0.9959 0.5000
Fe13 0.3339 0.1670 0.2504
Fe14 0.3339 0.1670 0.7496
Fe15 0.3722 0.0344 0.0000
Fe16 0.3722 0.3377 0.0000
Fe17 0.4993 0.5007 0.2650
Fe18 0.4993 0.5007 0.7350
Fe19 0.4993 0.9985 0.2650
Fe20 0.4993 0.9985 0.7350
Fe21 0.6623 0.0344 0.0000
Fe22 0.6623 0.6278 0.0000
Fe23 0.6645 0.8323 0.2354
Fe24 0.6645 0.8323 0.7646
Fe25 0.6667 0.3333 0.1438
Fe26 0.6667 0.3333 0.8562
Fe27 0.6999 0.7041 0.5000
Fe28 0.6999 0.9959 0.5000
Fe29 0.8330 0.1670 0.2504
Fe30 0.8330 0.1670 0.7496
Fe31 0.8330 0.6661 0.2504
Fe32 0.8330 0.6661 0.7496
Fe33 0.9656 0.3377 0.0000
Fe34 0.9656 0.6278 0.0000
```

Top 8 peaks for 10° ≤ 2θ ≤ 80°, sorted by position:
d/Å	two_theta	I_rel
2.953	30.3	36
2.444	36.8	41
2.199	41.0	27
2.116	42.7	58
2.102	43.0	100
2.062	43.9	31
1.883	48.3	20
1.222	78.2	17

=====

Entry 2:
Calculated powder X-ray diffraction pattern
Compound: Mg2Cd
Radiation: Cu Kα (λ = 1.5418 Å)
Structure: a cell relaxed with GGA-PBE
Kinematic intensities with the Lorentz-polarization factor, no thermal factor.

Atomic structure:
```
data_Mg2Cd
_chemical_formula_sum 'Mg4 Cd2'
_space_group_name_H-M_alt 'P 1'
_space_group_IT_number 1
_cell_length_a 3.1498
_cell_length_b 3.1498
_cell_length_c 15.6936
_cell_angle_alpha 90.00
_cell_angle_beta 90.00
_cell_angle_gamma 120.00
loop_
_space_group_symop_operation_xyz
'x,y,z'
loop_
_atom_site_label
_atom_site_fract_x
_atom_site_fract_y
_atom_site_fract_z
Mg1 0.0000 0.0000 0.0000
Mg2 0.0000 0.0000 0.3309
Mg3 0.0000 0.0000 0.6691
Mg4 0.3333 0.6667 0.5000
Cd1 0.3333 0.6667 0.1657
Cd2 0.3333 0.6667 0.8343
```

Top 8 peaks for 10° ≤ 2θ ≤ 80°, sorted by position:
d/Å	two_theta	I_rel
7.847	11.3	24
5.231	16.9	41
2.728	32.8	40
2.616	34.3	25
2.419	37.2	100
1.888	48.2	26
1.469	63.3	20
1.349	69.7	18

=====

Entry 3:
Calculated powder X-ray diffraction pattern
Compound: YMg14NbO16
Radiation: Cu Kα (λ = 1.5418 Å)
Structure: a cell relaxed with GGA-PBE
Kinematic intensities with the Lorentz-polarization factor, no thermal factor.

Atomic structure:
```
data_YMg14NbO16
_chemical_formula_sum 'Y1 Mg14 Nb1 O16'
_space_group_name_H-M_alt 'P 1'
_space_group_IT_number 1
_cell_length_a 8.7417
_cell_length_b 8.7417
_cell_length_c 4.4136
_cell_angle_alpha 90.00
_cell_angle_beta 90.00
_cell_angle_gamma 90.00
loop_
_space_group_symop_operation_xyz
'x,y,z'
loop_
_atom_site_label
_atom_site_fract_x
_atom_site_fract_y
_atom_site_fract_z
Y1 0.0000 0.0000 0.0000
Mg1 0.0000 0.2627 0.5000
Mg2 0.0000 0.5000 0.0000
Mg3 0.0000 0.7373 0.5000
Mg4 0.2494 0.5000 0.5000
Mg5 0.2560 0.2560 0.0000
Mg6 0.2560 0.7440 0.0000
Mg7 0.2627 0.0000 0.5000
Mg8 0.5000 0.0000 0.0000
Mg9 0.5000 0.2494 0.5000
Mg10 0.5000 0.7506 0.5000
Mg11 0.7373 0.0000 0.5000
Mg12 0.7440 0.2560 0.0000
Mg13 0.7440 0.7440 0.0000
Mg14 0.7506 0.5000 0.5000
Nb1 0.5000 0.5000 0.0000
O1 0.0000 0.0000 0.5000
O2 0.0000 0.2572 0.0000
O3 0.0000 0.5000 0.5000
O4 0.0000 0.7428 0.0000
O5 0.2367 0.5000 0.0000
O6 0.2480 0.2480 0.5000
O7 0.2480 0.7520 0.5000
O8 0.2572 0.0000 0.0000
O9 0.5000 0.0000 0.5000
O10 0.5000 0.2367 0.0000
O11 0.5000 0.5000 0.5000
O12 0.5000 0.7633 0.0000
O13 0.7428 0.0000 0.0000
O14 0.7520 0.2480 0.5000
O15 0.7520 0.7520 0.5000
O16 0.7633 0.5000 0.0000
```

Top 8 peaks for 10° ≤ 2θ ≤ 80°, sorted by position:
d/Å	two_theta	I_rel
6.181	14.3	31
3.592	24.8	23
2.532	35.5	38
2.207	40.9	52
2.185	41.3	100
1.553	59.5	59
1.545	59.9	29
1.266	75.0	27

=====

Entry 4:
Calculated powder X-ray diffraction pattern
Compound: Mg5Si9
Radiation: Cu Kα (λ = 1.5418 Å)
Structure: a cell relaxed with GGA-PBE
Kinematic intensities with the Lorentz-polarization factor, no thermal factor.

Atomic structure:
```
data_Mg5Si9
_chemical_formula_sum 'Mg10 Si18'
_space_group_name_H-M_alt 'P 1'
_space_group_IT_number 1
_cell_length_a 6.6456
_cell_length_b 6.7608
_cell_length_c 13.2757
_cell_angle_alpha 85.92
_cell_angle_beta 77.82
_cell_angle_gamma 66.13
loop_
_space_group_symop_operation_xyz
'x,y,z'
loop_
_atom_site_label
_atom_site_fract_x
_atom_site_fract_y
_atom_site_fract_z
Mg1 0.0000 0.0000 0.0000
Mg2 0.0162 0.5249 0.9647
Mg3 0.1435 0.1687 0.4097
Mg4 0.3276 0.0983 0.6221
Mg5 0.4372 0.2271 0.8114
Mg6 0.4656 0.2044 0.0836
Mg7 0.5283 0.7604 0.1280
Mg8 0.5789 0.5159 0.9350
Mg9 0.7633 0.6628 0.4429
Mg10 0.8465 0.9603 0.6094
Si1 0.0050 0.2580 0.8196
Si2 0.0217 0.8821 0.3037
Si3 0.1025 0.1508 0.1921
Si4 0.1160 0.4930 0.5347
Si5 0.1211 0.4938 0.2582
Si6 0.2095 0.6331 0.0919
Si7 0.3075 0.6469 0.7895
Si8 0.3150 0.7234 0.5396
Si9 0.3965 0.7322 0.3555
Si10 0.5090 0.3611 0.2916
Si11 0.5525 0.4247 0.6298
Si12 0.5653 0.8099 0.7656
Si13 0.6066 0.9459 0.2829
Si14 0.6489 0.8981 0.9253
Si15 0.6827 0.1174 0.4278
Si16 0.7692 0.3376 0.1296
Si17 0.8515 0.4868 0.6851
Si18 0.9496 0.9350 0.7979
```

Top 8 peaks for 10° ≤ 2θ ≤ 80°, sorted by position:
d/Å	two_theta	I_rel
3.309	26.9	48
2.783	32.2	44
2.612	34.3	60
2.535	35.4	100
2.496	36.0	39
2.449	36.7	50
2.405	37.4	38
2.381	37.8	49

=====

Entry 5:
Calculated powder X-ray diffraction pattern
Compound: Ba2CdGe2O7
Radiation: Cu Kα (λ = 1.5418 Å)
Structure: a cell relaxed with GGA-PBE
Kinematic intensities with the Lorentz-polarization factor, no thermal factor.

Atomic structure:
```
data_Ba2CdGe2O7
_chemical_formula_sum 'Ba4 Cd2 Ge4 O14'
_space_group_name_H-M_alt 'P 1'
_space_group_IT_number 1
_cell_length_a 8.7372
_cell_length_b 8.7372
_cell_length_c 5.6666
_cell_angle_alpha 90.00
_cell_angle_beta 90.00
_cell_angle_gamma 90.00
loop_
_space_group_symop_operation_xyz
'x,y,z'
loop_
_atom_site_label
_atom_site_fract_x
_atom_site_fract_y
_atom_site_fract_z
Ba1 0.1661 0.3339 0.0052
Ba2 0.3339 0.8339 0.9948
Ba3 0.6661 0.1661 0.9948
Ba4 0.8339 0.6661 0.0052
Cd1 0.0000 0.0000 0.5000
Cd2 0.5000 0.5000 0.5000
Ge1 0.1375 0.6375 0.5548
Ge2 0.3625 0.1375 0.4452
Ge3 0.6375 0.8625 0.4452
Ge4 0.8625 0.3625 0.5548
O1 0.0000 0.5000 0.6718
O2 0.0780 0.8042 0.7112
O3 0.1398 0.6398 0.2483
O4 0.1958 0.0780 0.2888
O5 0.3042 0.5780 0.7112
O6 0.3602 0.1398 0.7517
O7 0.4220 0.3042 0.2888
O8 0.5000 0.0000 0.3282
O9 0.5780 0.6958 0.2888
O10 0.6398 0.8602 0.7517
O11 0.6958 0.4220 0.7112
O12 0.8042 0.9220 0.2888
O13 0.8602 0.3602 0.2483
O14 0.9220 0.1958 0.7112
```

Top 8 peaks for 10° ≤ 2θ ≤ 80°, sorted by position:
d/Å	two_theta	I_rel
4.176	21.3	16
3.460	25.7	33
3.217	27.7	100
2.833	31.6	14
2.763	32.4	33
1.985	45.7	13
1.978	45.9	28
1.560	59.2	14

=====

Entry 6:
Calculated powder X-ray diffraction pattern
Compound: CaSnBiO5
Radiation: Cu Kα (λ = 1.5418 Å)
Structure: a cell relaxed with GGA-PBE
Kinematic intensities with the Lorentz-polarization factor, no thermal factor.

Atomic structure:
```
data_CaSnBiO5
_chemical_formula_sum 'Ca4 Sn4 Bi4 O20'
_space_group_name_H-M_alt 'P 1'
_space_group_IT_number 1
_cell_length_a 5.9256
_cell_length_b 11.1499
_cell_length_c 8.9698
_cell_angle_alpha 90.00
_cell_angle_beta 108.17
_cell_angle_gamma 90.00
loop_
_space_group_symop_operation_xyz
'x,y,z'
loop_
_atom_site_label
_atom_site_fract_x
_atom_site_fract_y
_atom_site_fract_z
Ca1 0.0323 0.0962 0.1686
Ca2 0.0323 0.4038 0.6686
Ca3 0.9677 0.5962 0.3314
Ca4 0.9677 0.9038 0.8314
Sn1 0.3804 0.6148 0.0607
Sn2 0.3804 0.8852 0.5607
Sn3 0.6196 0.1148 0.4393
Sn4 0.6196 0.3852 0.9393
Bi1 0.4699 0.1016 0.8509
Bi2 0.4699 0.3984 0.3509
Bi3 0.5301 0.6016 0.6491
Bi4 0.5301 0.8984 0.1491
O1 0.2062 0.5291 0.1869
O2 0.2062 0.9709 0.6869
O3 0.2232 0.7228 0.5076
O4 0.2232 0.7772 0.0076
O5 0.2808 0.0373 0.0127
O6 0.2808 0.4627 0.5127
O7 0.3244 0.2126 0.3248
O8 0.3244 0.2874 0.8248
O9 0.3628 0.5386 0.8514
O10 0.3628 0.9614 0.3514
O11 0.6372 0.0386 0.6486
O12 0.6372 0.4614 0.1486
O13 0.6756 0.7126 0.1752
O14 0.6756 0.7874 0.6752
O15 0.7192 0.5373 0.4873
O16 0.7192 0.9627 0.9873
O17 0.7768 0.2228 0.9924
O18 0.7768 0.2772 0.4924
O19 0.7938 0.0291 0.3131
O20 0.7938 0.4709 0.8131
```

Top 8 peaks for 10° ≤ 2θ ≤ 80°, sorted by position:
d/Å	two_theta	I_rel
5.630	15.7	100
3.980	22.3	35
3.816	23.3	73
3.324	26.8	60
2.801	32.0	22
2.742	32.7	40
2.246	40.1	23
2.225	40.5	26

=====

Entry 7:
Calculated powder X-ray diffraction pattern
Compound: KRb2InBr6
Radiation: Cu Kα (λ = 1.5418 Å)
Structure: a cell relaxed with GGA-PBE
Kinematic intensities with the Lorentz-polarization factor, no thermal factor.

Atomic structure:
```
data_KRb2InBr6
_chemical_formula_sum 'K1 Rb2 In1 Br6'
_space_group_name_H-M_alt 'P 1'
_space_group_IT_number 1
_cell_length_a 8.2647
_cell_length_b 8.2647
_cell_length_c 8.2647
_cell_angle_alpha 60.00
_cell_angle_beta 60.00
_cell_angle_gamma 60.00
loop_
_space_group_symop_operation_xyz
'x,y,z'
loop_
_atom_site_label
_atom_site_fract_x
_atom_site_fract_y
_atom_site_fract_z
K1 0.0000 0.0000 0.0000
Rb1 0.2500 0.2500 0.2500
Rb2 0.7500 0.7500 0.7500
In1 0.5000 0.5000 0.5000
Br1 0.2686 0.2686 0.7314
Br2 0.2686 0.7314 0.2686
Br3 0.2686 0.7314 0.7314
Br4 0.7314 0.2686 0.2686
Br5 0.7314 0.2686 0.7314
Br6 0.7314 0.7314 0.2686
```

Top 8 peaks for 10° ≤ 2θ ≤ 80°, sorted by position:
d/Å	two_theta	I_rel
6.748	13.1	26
4.132	21.5	23
3.374	26.4	74
2.922	30.6	100
2.066	43.8	69
1.762	51.9	29
1.687	54.4	23
1.307	72.3	27